Computed PXRD pattern of Na3Hg2Pd2 for a wavelength of 1.5418 Å, from DFT lattice parameters and positions (GGA-PBE).

Atomic structure:
a = 5.737 Å, b = 8.458 Å, c = 13.875 Å
α = 90.00°, β = 90.00°, γ = 90.00°
Space group Pbcm (No. 57)
One atom of each set of equivalent atoms:
Na  0.124  0.240  0.250 x4
Na  0.359  0.607  0.095 x8
Hg  0.171  0.250  0.000 x4
Hg  0.368  0.602  0.750 x4
Pd  0.127  0.535  0.587 x8

Main lines, in order of rising 2θ (2θ from 10° to 90°):
- 2θ 19.76, d = 4.492 Å, I = 94, (1 1 1)
- 2θ 20.08, d = 4.421 Å, I = 100, (1 0 2)
- 2θ 21.97, d = 4.045 Å, I = 49, (0 2 1)
- 2θ 22.69, d = 3.918 Å, I = 100, (1 1 2)
- 2θ 35.48, d = 2.530 Å, I = 71, (1 3 0)
- 2θ 38.43, d = 2.342 Å, I = 88, (2 1 3)

---

Computed PXRD pattern of SiHg4S6 for a wavelength of 1.5418 Å, from DFT lattice parameters and positions (GGA-PBE).

Atomic structure:
a = 12.637 Å, b = 7.261 Å, c = 12.652 Å
α = 90.00°, β = 110.23°, γ = 90.00°
Space group Cc (No. 9)
One atom of each set of equivalent atoms:
Si  0.000  0.229  0.000 x4
Hg  0.062  0.059  0.754 x4
Hg  0.228  0.403  0.248 x4
Hg  0.248  0.119  0.560 x4
Hg  0.432  0.191  0.908 x4
S  0.119  0.239  0.369 x4
S  0.179  0.240  0.052 x4
S  0.243  0.246  0.749 x4
S  0.430  0.234  0.321 x4
S  0.430  0.490  0.047 x4
S  0.452  0.031  0.574 x4

Main lines, in order of rising 2θ (2θ from 10° to 90°):
- 2θ 24.42, d = 3.645 Å, I = 86, (3 1 -1)
- 2θ 25.49, d = 3.495 Å, I = 96, (3 1 -2)
- 2θ 25.66, d = 3.472 Å, I = 100, (0 2 1)
- 2θ 28.61, d = 3.120 Å, I = 60, (2 0 -4)
- 2θ 28.87, d = 3.093 Å, I = 72, (1 1 3)
- 2θ 45.89, d = 1.977 Å, I = 59, (0 0 6)

---

Computed PXRD pattern of Rb2PdSCl6 for a wavelength of 1.5418 Å, from DFT lattice parameters and positions (GGA-PBE).

Atomic structure:
a = 7.557 Å, b = 7.557 Å, c = 9.094 Å
α = 90.00°, β = 90.00°, γ = 90.00°
Space group I4/mmm (No. 139)
One atom of each set of equivalent atoms:
Rb  0.000  0.500  0.250 x4
Pd  0.000  0.000  0.000 x2
S  0.000  0.000  0.500 x2
Cl  0.000  0.000  0.259 x4
Cl  0.228  0.228  0.000 x8

Main lines, in order of rising 2θ (2θ from 10° to 90°):
- 2θ 23.55, d = 3.778 Å, I = 57, (2 0 0)
- 2θ 25.73, d = 3.463 Å, I = 89, (1 1 2)
- 2θ 30.77, d = 2.906 Å, I = 56, (2 0 2)
- 2θ 33.54, d = 2.672 Å, I = 100, (2 2 0)
- 2θ 42.75, d = 2.115 Å, I = 42, (3 1 2)
- 2θ 52.88, d = 1.731 Å, I = 49, (2 2 4)